ThCd3: theoretical powder diffraction line list (Cu Kα, 1.54184 Å), based on a DFT-relaxed cell (GGA-PBE, the Materials Project).
Peak positions follow from Bragg's law for the DFT cell and can differ from measured ones.

Peak list (10 most intense, 2θ from 15° to 90°, sorted by position)
two_theta, Rel. int., hkl
23.20, 13, 1 0 1
30.11, 25, 2 0 0
35.12, 100, 2 0 1
35.76, 22, 0 0 2
47.43, 14, 2 0 2
53.47, 19, 2 2 0
63.85, 17, 2 0 3
65.60, 15, 4 0 1
66.01, 20, 2 2 2
89.52, 14, 4 2 1

Atomic structure:
abc: 6.8544 6.8544 5.0212
angles: 90.00 90.00 120.00
Space group P6_3/mmc (No. 194)
Symmetry-distinct sites (fractional):
Th 0.3333 0.6667 0.2500 [2 per cell]
Cd 0.1570 0.3140 0.7500 [6 per cell]